[1]
This entry pairs a crystal structure of YH with its simulated PXRD pattern. Radiation: Cu Kα (λ = 1.5418 Å). Structure: a cell relaxed with GGA-PBE.
Intensities are scaled so that the largest is 100.

Most intense lines, 2θ = 10–90°, in order of falling intensity:
2θ (°)  I/Imax  h k l
32.04  100.0  1 0 1
30.56  26.1  0 0 2
28.07  25.3  1 0 0
59.45  22.2  1 1 2
55.26  21.1  1 0 3
49.67  19.7  1 1 0
41.97  16.0  1 0 2
60.34  15.7  2 0 1
81.84  12.8  2 1 1
84.74  7.8  1 1 4

Unit cell a=3.6709 b=3.6709 c=5.8509 alpha=90.00 beta=90.00 gamma=120.00
Space group P6_3mc (No. 186)
Unique sites:
Y 0.3333 0.6667 0.0000
H 0.3333 0.6667 0.6104

[2]
This entry pairs a crystal structure of KGdP4O12 with its simulated PXRD pattern. Radiation: Cu Kα (λ = 1.5418 Å). Structure: a cell relaxed with GGA-PBE.
Intensities are scaled so that the largest is 100.

Most intense lines, 2θ = 10–90°, in order of falling intensity:
2θ (°)  I/Imax  h k l
16.56  100.0  0 2 1
25.75  88.5  1 1 2
27.47  84.9  1 3 -2
18.87  60.6  1 1 -2
13.88  55.4  1 1 -1
27.25  40.3  1 3 1
24.11  38.8  2 0 -2
48.68  38.5  2 6 -1
37.15  34.3  2 4 0
23.77  28.5  2 0 0

Unit cell a=8.0137 b=12.6934 c=10.6614 alpha=90.00 beta=110.93 gamma=90.00
Space group C2/c (No. 15)
Unique sites:
K 0.0000 0.1892 0.2500
Gd 0.0000 0.1207 0.7500
P 0.0459 0.3321 0.9952
P 0.2223 0.4734 0.4497
O 0.0502 0.2493 0.6053
O 0.0768 0.4317 0.9131
O 0.0963 0.3721 0.4378
O 0.1530 0.0149 0.4070
O 0.2068 0.0353 0.6614
O 0.2098 0.3032 0.1126

[3]
This entry pairs a crystal structure of Ca3SmHg12 with its simulated PXRD pattern. Radiation: Cu Kα (λ = 1.5418 Å). Structure: a cell relaxed with GGA-PBE.
Intensities are scaled so that the largest is 100.

Most intense lines, 2θ = 10–90°, in order of falling intensity:
2θ (°)  I/Imax  h k l
33.13  100.0  1 1 4
55.50  35.1  2 2 0
38.40  33.7  2 0 0
66.13  27.8  3 1 4
38.52  16.7  0 0 8
66.28  13.8  1 1 12
69.53  12.0  2 2 8
18.95  10.6  1 0 0
26.92  9.5  1 1 0
47.56  4.4  2 1 4

Unit cell a=4.6879 b=4.6879 c=18.6977 alpha=90.00 beta=90.00 gamma=90.00
Space group P4/mmm (No. 123)
Unique sites:
Ca 0.0000 0.0000 0.0000
Ca 0.0000 0.0000 0.2488
Sm 0.0000 0.0000 0.5000
Hg 0.0000 0.5000 0.1249
Hg 0.0000 0.5000 0.3763
Hg 0.5000 0.5000 0.0000
Hg 0.5000 0.5000 0.2508
Hg 0.5000 0.5000 0.5000

[4]
This entry pairs a crystal structure of YZrNi6 with its simulated PXRD pattern. Radiation: Cu Kα (λ = 1.5418 Å). Structure: a cell relaxed with GGA-PBE.
Intensities are scaled so that the largest is 100.

Most intense lines, 2θ = 10–90°, in order of falling intensity:
2θ (°)  I/Imax  h k l
41.05  100.0  2 4 0
47.69  31.7  0 4 4
84.24  21.6  2 8 4
69.92  18.5  4 4 4
47.91  15.6  4 0 0
84.57  10.7  6 4 0
89.06  9.5  4 8 0
69.75  9.3  0 8 0
33.27  2.3  0 0 4
23.32  2.0  0 2 2

Unit cell a=7.5945 b=10.7846 c=10.7889 alpha=90.00 beta=90.00 gamma=90.00
Space group Cmmm (No. 65)
Unique sites:
Y 0.0000 0.0000 0.2486
Y 0.0000 0.2481 0.5000
Zr 0.0000 0.2488 0.0000
Zr 0.0000 0.5000 0.2488
Ni 0.0000 0.0000 0.0000
Ni 0.0000 0.0000 0.5000
Ni 0.0000 0.2541 0.2438
Ni 0.0000 0.5000 0.0000
Ni 0.0000 0.5000 0.5000
Ni 0.2439 0.3766 0.3705
Ni 0.2451 0.3733 0.1212

[5]
This entry pairs a crystal structure of Sm3IrSe2 with its simulated PXRD pattern. Radiation: Cu Kα (λ = 1.5418 Å). Structure: a cell relaxed with GGA-PBE.
Intensities are scaled so that the largest is 100.

Most intense lines, 2θ = 10–90°, in order of falling intensity:
2θ (°)  I/Imax  h k l
30.09  100.0  0 4 0
43.05  48.9  2 4 6
13.28  13.4  1 1 1
53.93  13.1  0 4 12
52.93  12.8  4 4 0
42.53  12.4  4 0 0
43.71  11.8  0 0 12
70.99  10.6  4 4 12
70.83  10.4  2 8 6
62.62  7.5  4 0 12

Unit cell a=8.5029 b=11.9060 c=24.8535 alpha=90.00 beta=90.00 gamma=90.00
Space group Fddd (No. 70, origin choice 2)
Unique sites:
Sm 0.1043 0.3750 0.3750
Sm 0.1147 0.3651 0.2126
Ir 0.1250 0.1250 0.0414
Se 0.1250 0.1250 0.3774
Se 0.1250 0.1250 0.5447

[6]
This entry pairs a crystal structure of Cd2Ga3CuO8 with its simulated PXRD pattern. Radiation: Cu Kα (λ = 1.5418 Å). Structure: a cell relaxed with GGA-PBE.
Intensities are scaled so that the largest is 100.

Most intense lines, 2θ = 10–90°, in order of falling intensity:
2θ (°)  I/Imax  h k l
33.79  100.0  1 1 3
32.19  77.1  0 1 5
29.43  46.8  1 1 0
61.07  41.3  2 2 0
53.97  37.7  1 2 5
40.79  35.7  0 2 4
57.01  33.1  2 0 8
34.56  32.3  0 2 1
35.88  28.9  2 0 2
27.61  24.7  1 0 4

Unit cell a=6.0695 b=6.0695 c=16.3838 alpha=90.00 beta=90.00 gamma=120.00
Space group R3m (No. 160, hexagonal axes)
Unique sites:
Cd 0.0000 0.0000 0.0000
Cd 0.0000 0.0000 0.3627
Ga 0.0006 0.5003 0.8674
Cu 0.0000 0.0000 0.7781
O 0.0000 0.0000 0.1335
O 0.0000 0.0000 0.5888
O 0.0180 0.5090 0.1256
O 0.1798 0.3595 0.9308

- What is the formula in the second record?
  KGdP4O12